Calculated X-ray powder pattern
Compound: Li3Mn4P6O24
Radiation: a wavelength of 1.5418 Å
Structure: DFT lattice parameters and positions (GGA+U)
Peak positions follow from Bragg's law for the DFT cell and can differ from measured ones.

Crystal structure
```
data_Li3Mn4P6O24
_space_group_name_H-M_alt 'C 1 2 1'
_space_group_IT_number 5
_space_group_name_Hall 'C 2y'
_cell_length_a 11.7391
_cell_length_b 12.8963
_cell_length_c 6.2386
_cell_angle_alpha 90.00
_cell_angle_beta 112.88
_cell_angle_gamma 90.00
loop_
_atom_site_label
_atom_site_fract_x
_atom_site_fract_y
_atom_site_fract_z
Li1 0.0000 0.0000 0.0000
Li2 0.0185 0.4807 0.7441
Mn1 0.2169 0.8448 0.8799
Mn2 0.2195 0.1587 0.3858
P1 0.0000 0.2758 0.0000
P2 0.0000 0.7254 0.5000
P3 0.2467 0.0947 0.8974
P4 0.2467 0.9081 0.3868
O1 0.0495 0.7944 0.7220
O2 0.0502 0.2063 0.2208
O3 0.0986 0.3507 0.9735
O4 0.0993 0.6515 0.4749
O5 0.1205 0.4400 0.5482
O6 0.1219 0.5573 0.0303
O7 0.1585 0.0003 0.8676
O8 0.1606 0.0049 0.3399
O9 0.1920 0.8397 0.1638
O10 0.1972 0.1601 0.6712
O11 0.2327 0.1721 0.0834
O12 0.2325 0.8357 0.5792
```

Peak list (10 most intense, 10 to 90 degrees two-theta, by angle)
- 13.73°, I 16.7, (0 2 0)
- 15.93°, I 42.3, (1 1 -1)
- 16.39°, I 100.0, (2 0 0)
- 25.26°, I 21.6, (1 3 -1)
- 29.71°, I 44.4, (1 1 -2)
- 31.82°, I 29.7, (0 4 1)
- 32.15°, I 15.2, (3 1 -2)
- 32.34°, I 43.8, (2 4 0)
- 36.01°, I 13.3, (4 2 0)
- 42.38°, I 12.8, (5 1 0)